# 1
Structure and simulated powder diffraction line list of BaIn3Pt3 (a DFT-relaxed cell (PBE, Alexandria); a wavelength of 1.5418 Å).
Neutral-atom scattering factors, no anomalous dispersion.

Cell and atoms:
a = 7.3234 Å, b = 7.3234 Å, c = 24.9766 Å
α = 90.00°, β = 90.00°, γ = 120.00°
Space group R-3 (No. 148, hexagonal axes)
Asymmetric unit:
Ba: 0.0000 0.0000 0.1514
In: 0.0403 0.5968 0.2859
Pt: 0.0206 0.7896 0.7315

The 10 most intense peaks (10 to 80 degrees two-theta), most intense first:
hkl	2theta	I_rel
3 -1 1	37.70	100
0 0 3	10.63	69
0 1 2	15.67	56
0 0 9	32.26	50
2 -1 3	26.59	46
1 2 2	38.23	37
1 2 8	47.84	36
3 -1 10	52.94	30
0 0 6	21.34	28
3 -1 7	45.59	25


# 2
Structure and simulated powder diffraction line list of Ba2Tl6InPt (a DFT-relaxed cell (PBE, Alexandria); a wavelength of 1.5418 Å).
Neutral-atom scattering factors, no anomalous dispersion.

Cell and atoms:
a = 7.6741 Å, b = 7.6741 Å, c = 38.9499 Å
α = 90.00°, β = 90.00°, γ = 120.00°
Space group R-3m (No. 166, hexagonal axes)
Asymmetric unit:
Ba: 0.0000 0.0000 0.1054
Ba: 0.0000 0.0000 0.2807
Tl: 0.0446 0.5223 0.3022
Tl: 0.0555 0.5277 0.8642
In: 0.0000 0.0000 0.4269
Pt: 0.0000 0.0000 0.0000
Pt: 0.0000 0.0000 0.5000

The 10 most intense peaks (10 to 80 degrees two-theta), most intense first:
hkl	2theta	I_rel
0 2 7	31.35	100
2 0 5	29.22	79
1 2 2	36.05	53
2 2 0	47.39	51
0 0 6	13.64	29
0 1 11	28.56	28
2 1 4	36.96	27
3 0 9	46.03	24
1 0 13	32.79	22
2 0 14	42.37	22